Starting from a structure optimized by DFT (PBE), the powder diffractogram of Tb19Nd4Th6 was computed for λ = 1.5418 Å (Cu Kα).
Intensities are scaled so that the largest is 100.

Top 6 peaks for 10 to 90 degrees two-theta, most intense first:
2θ/deg	I (rel.)
36.56	100
30.26	97
26.62	77
28.49	66
35.08	55
59.97	34

Structural model:
```
Tb19Nd4Th6
1.0
-6.266 6.266 6.266
6.266 -6.266 6.266
6.266 6.266 -6.266
Tb Nd Th
19 4 6
direct
0.000 0.000 0.000 Tb
0.000 0.265 0.265 Tb
0.000 0.735 0.735 Tb
0.019 0.805 0.342 Tb
0.195 0.214 0.537 Tb
0.214 0.537 0.195 Tb
0.265 0.000 0.265 Tb
0.265 0.265 0.000 Tb
0.324 0.786 0.981 Tb
0.342 0.019 0.805 Tb
0.463 0.676 0.658 Tb
0.537 0.195 0.214 Tb
0.658 0.463 0.676 Tb
0.676 0.658 0.463 Tb
0.735 0.000 0.735 Tb
0.735 0.735 0.000 Tb
0.786 0.981 0.324 Tb
0.805 0.342 0.019 Tb
0.981 0.324 0.786 Tb
0.000 0.000 0.641 Nd
0.000 0.641 0.000 Nd
0.359 0.359 0.359 Nd
0.641 0.000 0.000 Nd
0.129 0.629 0.500 Th
0.371 0.500 0.871 Th
0.500 0.129 0.629 Th
0.500 0.871 0.371 Th
0.629 0.500 0.129 Th
0.871 0.371 0.500 Th
```


Starting from a structure optimized by DFT (PBE), the powder diffractogram of Pm4SmGa3 was computed for λ = 1.5418 Å (Cu Kα).
Intensities are scaled so that the largest is 100.

Top 6 peaks for 10 to 90 degrees two-theta, most intense first:
2θ/deg	I (rel.)
34.25	100
30.71	84
33.49	68
33.13	48
36.46	42
55.40	25

Structural model:
```
Pm4SmGa3
1.0
-5.984 5.984 3.031
5.984 -5.984 3.031
5.984 5.984 -3.031
Pm Sm Ga
8 2 6
direct
0.087 0.785 0.873 Pm
0.215 0.087 0.302 Pm
0.285 0.587 0.873 Pm
0.413 0.285 0.698 Pm
0.587 0.715 0.302 Pm
0.715 0.413 0.127 Pm
0.785 0.913 0.698 Pm
0.913 0.215 0.127 Pm
0.250 0.750 0.500 Sm
0.750 0.250 0.500 Sm
0.158 0.342 0.500 Ga
0.250 0.250 0.000 Ga
0.342 0.842 0.183 Ga
0.658 0.158 0.817 Ga
0.750 0.750 0.000 Ga
0.842 0.658 0.500 Ga
```


Starting from a structure optimized by DFT (PBE), the powder diffractogram of Cu4Ni4Ir was computed for λ = 1.5418 Å (Cu Kα).
Intensities are scaled so that the largest is 100.

Top 6 peaks for 10 to 90 degrees two-theta, most intense first:
2θ/deg	I (rel.)
43.43	100
50.37	32
89.89	23
74.51	18
51.01	15
16.31	14

Structural model:
```
Cu4Ni4Ir
1.0
-3.843 3.843 1.790
3.843 -3.843 1.790
3.843 3.843 -1.790
Cu Ni Ir
4 4 1
direct
0.000 0.335 0.335 Cu
0.000 0.665 0.665 Cu
0.335 0.000 0.335 Cu
0.665 0.000 0.665 Cu
0.333 0.333 0.667 Ni
0.333 0.667 0.000 Ni
0.667 0.333 0.000 Ni
0.667 0.667 0.333 Ni
0.000 0.000 0.000 Ir
```


Starting from a structure optimized by DFT (PBE), the powder diffractogram of Ac4InN was computed for λ = 1.5418 Å (Cu Kα).
Intensities are scaled so that the largest is 100.

Top 6 peaks for 10 to 90 degrees two-theta, most intense first:
2θ/deg	I (rel.)
26.07	100
29.44	55
30.90	41
53.37	24
28.08	23
28.77	22

Structural model:
```
Ac4InN
1.0
10.199 0.000 0.000
0.000 7.604 0.000
0.000 0.000 5.788
Ac In N
8 2 2
direct
0.000 0.085 0.000 Ac
0.000 0.787 0.507 Ac
0.195 0.283 0.508 Ac
0.305 0.717 0.008 Ac
0.500 0.213 0.007 Ac
0.500 0.915 0.500 Ac
0.695 0.717 0.008 Ac
0.805 0.283 0.508 Ac
0.000 0.514 0.012 In
0.500 0.486 0.512 In
0.000 0.105 0.554 N
0.500 0.895 0.054 N
```